# 1
Simulated PXRD pattern
Compound: MgSiSnHS
Radiation: Cu Ka
Structure: a structure optimized by DFT (GGA-PBE)

The 12 most intense peaks (2θ = 15–90°), low angle first:
Position (°2θ), d_spacing, intensity
22.12, 4.019, 500
24.92, 3.572, 1000
26.51, 3.363, 695
27.35, 3.261, 648
27.81, 3.208, 862
32.08, 2.790, 318
33.95, 2.641, 408
35.83, 2.506, 532
44.32, 2.044, 649
45.12, 2.009, 318
45.97, 1.974, 605
48.80, 1.866, 457

Structural model:
a b c (Å): 6.824 5.012 6.510
angles (deg): 90.00 99.76 90.00
Space group Cm (No. 8)
One atom of each set of equivalent atoms:
Mg: 0.000 0.000 0.000 [2 per cell]
Si: 0.053 0.500 0.635 [2 per cell]
Sn: 0.163 0.000 0.580 [2 per cell]
H: 0.096 0.000 0.298 [2 per cell]
S: 0.127 0.500 0.987 [2 per cell]

---

# 2
Simulated PXRD pattern
Compound: MgSiSnHS
Radiation: Cu Ka
Structure: a structure optimized by DFT (GGA-PBE)

The 12 most intense peaks (2θ = 15–90°), low angle first:
Position (°2θ), d_spacing, intensity
22.90, 3.884, 520
26.98, 3.305, 530
28.37, 3.146, 567
32.60, 2.747, 1000
35.67, 2.517, 367
36.76, 2.445, 318
43.75, 2.069, 687
46.78, 1.942, 356
55.10, 1.667, 246
55.61, 1.653, 338
75.55, 1.259, 179
84.72, 1.144, 332

Structural model:
a b c (Å): 3.884 3.884 6.292
angles (deg): 90.00 90.00 90.00
Space group P4mm (No. 99)
One atom of each set of equivalent atoms:
Mg: 0.000 0.000 0.000 [1 per cell]
Si: 0.000 0.000 0.561 [1 per cell]
Sn: 0.500 0.500 0.583 [1 per cell]
H: 0.000 0.000 0.317 [1 per cell]
S: 0.500 0.500 0.999 [1 per cell]

---

# 3
Simulated PXRD pattern
Compound: Mg5Sb4H
Radiation: Cu Ka
Structure: a structure optimized by DFT (GGA-PBE)

The 12 most intense peaks (2θ = 15–90°), low angle first:
Position (°2θ), d_spacing, intensity
17.98, 4.933, 252
26.85, 3.321, 1000
30.28, 2.951, 448
31.50, 2.840, 905
33.54, 2.672, 204
44.26, 2.046, 702
45.14, 2.008, 280
51.73, 1.767, 191
53.31, 1.719, 343
55.33, 1.660, 279
71.06, 1.327, 163
72.13, 1.310, 143

Structural model:
a b c (Å): 8.982 8.982 5.903
angles (deg): 90.00 90.00 90.00
Space group I4 (No. 79)
One atom of each set of equivalent atoms:
Mg: 0.000 0.000 0.000 [2 per cell]
Mg: 0.090 0.737 0.631 [8 per cell]
Sb: 0.085 0.704 0.137 [8 per cell]
H: 0.000 0.000 0.666 [2 per cell]

---

# 4
Simulated PXRD pattern
Compound: SrMgSbH
Radiation: Cu Ka
Structure: a structure optimized by DFT (GGA-PBE)

The 12 most intense peaks (2θ = 15–90°), low angle first:
Position (°2θ), d_spacing, intensity
21.90, 4.059, 192
28.36, 3.147, 1000
36.06, 2.491, 119
38.41, 2.343, 375
42.60, 2.122, 158
48.43, 1.880, 225
53.71, 1.707, 222
60.22, 1.537, 109
63.44, 1.466, 198
80.85, 1.189, 67
86.35, 1.127, 90
89.19, 1.098, 81

Structural model:
a b c (Å): 4.6870 4.6870 4.9811
angles (deg): 90.00 90.00 120.00
Space group P3m1 (No. 156)
One atom of each set of equivalent atoms:
Sr: 0.0000 0.0000 0.0000 [1 per cell]
Mg: 0.6667 0.3333 0.5546 [1 per cell]
Sb: 0.3333 0.6667 0.4441 [1 per cell]
H: 0.6667 0.3333 0.9408 [1 per cell]

---

# 5
Simulated PXRD pattern
Compound: Mg3ScH
Radiation: Cu Ka
Structure: a structure optimized by DFT (GGA-PBE)

The 12 most intense peaks (2θ = 15–90°), low angle first:
Position (°2θ), d_spacing, intensity
19.64, 4.520, 69
27.92, 3.196, 80
34.37, 2.609, 1000
39.89, 2.260, 509
44.84, 2.021, 27
49.39, 1.845, 25
57.69, 1.598, 319
61.55, 1.507, 12
68.90, 1.363, 350
72.44, 1.305, 102
79.32, 1.208, 10
86.04, 1.130, 46

Structural model:
a b c (Å): 4.520 4.520 4.520
angles (deg): 90.00 90.00 90.00
Space group Pm-3m (No. 221)
One atom of each set of equivalent atoms:
Mg: 0.000 0.000 0.500 [3 per cell]
Sc: 0.500 0.500 0.500 [1 per cell]
H: 0.000 0.000 0.000 [1 per cell]

---

# 6
Simulated PXRD pattern
Compound: MgZrSc2H
Radiation: Cu Ka
Structure: a structure optimized by DFT (GGA-PBE)

The 12 most intense peaks (2θ = 15–90°), low angle first:
Position (°2θ), d_spacing, intensity
19.63, 4.523, 210
28.06, 3.180, 194
34.48, 2.601, 1000
39.87, 2.261, 337
40.35, 2.235, 163
44.81, 2.023, 48
49.46, 1.843, 77
57.65, 1.599, 106
58.02, 1.590, 209
68.94, 1.362, 237
69.60, 1.351, 115
72.71, 1.301, 101

Structural model:
a b c (Å): 4.523 4.523 4.471
angles (deg): 90.00 90.00 90.00
Space group P4/mmm (No. 123)
One atom of each set of equivalent atoms:
Mg: 0.000 0.000 0.000 [1 per cell]
Zr: 0.500 0.500 0.000 [1 per cell]
Sc: 0.000 0.500 0.500 [2 per cell]
H: 0.000 0.000 0.500 [1 per cell]

---

# 7
Simulated PXRD pattern
Compound: Mg2H6Se
Radiation: Cu Ka
Structure: a structure optimized by DFT (GGA-PBE)

The 12 most intense peaks (2θ = 15–90°), low angle first:
Position (°2θ), d_spacing, intensity
22.50, 3.952, 737
26.03, 3.423, 86
37.15, 2.420, 1000
43.87, 2.064, 433
45.92, 1.976, 15
53.55, 1.711, 169
58.80, 1.570, 191
60.48, 1.531, 22
66.97, 1.397, 320
71.63, 1.317, 136
79.15, 1.210, 100
83.56, 1.157, 139

Structural model:
a b c (Å): 6.845 6.845 6.845
angles (deg): 90.00 90.00 90.00
Space group Fm-3m (No. 225)
One atom of each set of equivalent atoms:
Mg: 0.250 0.250 0.250 [8 per cell]
H: 0.000 0.000 0.138 [24 per cell]
Se: 0.000 0.000 0.500 [4 per cell]

---

# 8
Simulated PXRD pattern
Compound: MgHSe
Radiation: Cu Ka
Structure: a structure optimized by DFT (GGA-PBE)

The 12 most intense peaks (2θ = 15–90°), low angle first:
Position (°2θ), d_spacing, intensity
22.09, 4.023, 936
22.59, 3.936, 525
27.18, 3.281, 1000
27.64, 3.227, 251
31.57, 2.834, 821
38.47, 2.340, 500
38.85, 2.318, 339
39.31, 2.292, 583
39.41, 2.286, 463
50.58, 1.805, 427
51.22, 1.784, 408
78.92, 1.213, 227

Structural model:
a b c (Å): 4.574 4.584 5.668
angles (deg): 89.85 89.77 61.47
Space group P-1 (No. 2)
One atom of each set of equivalent atoms:
Mg: 0.168 0.170 0.247 [2 per cell]
H: 0.465 0.458 0.540 [2 per cell]
Se: 0.169 0.169 0.754 [2 per cell]